For PaPd7, a PBE-relaxed structure gives the theoretical XRD peak list in this record (copper Kα).
Kinematic intensities with the Lorentz-polarization factor, no thermal factor.

Top 10 peaks for 5 to 70 degrees two-theta, by angle:
- 2θ = 15.46°, I 6
- 2θ = 20.47°, I 14
- 2θ = 30.18°, I 5
- 2θ = 38.40°, I 100
- 2θ = 38.63°, I 98
- 2θ = 44.53°, I 66
- 2θ = 45.26°, I 31
- 2θ = 64.47°, I 11
- 2θ = 65.12°, I 11
- 2θ = 65.36°, I 41

Crystal structure
```
8
Lattice="0.000 4.007 5.730 2.891 0.000 5.730 2.891 4.007 0.000" Properties=species:S:1:pos:R:3 pbc="T T T"
Pa 0.000 0.000 0.000
Pd 1.445 2.004 1.442
Pd 2.891 4.007 2.840
Pd 1.445 2.004 4.288
Pd 2.891 4.007 5.730
Pd 4.336 6.011 7.172
Pd 2.891 4.007 8.620
Pd 4.336 6.011 10.018
```

=====

For Pm2PaPd5, a PBE-relaxed structure gives the theoretical XRD peak list in this record (copper Kα).
Kinematic intensities with the Lorentz-polarization factor, no thermal factor.

Top 10 peaks for 5 to 70 degrees two-theta, by angle:
- 2θ = 29.87°, I 52
- 2θ = 32.22°, I 42
- 2θ = 35.56°, I 100
- 2θ = 37.33°, I 22
- 2θ = 38.26°, I 81
- 2θ = 42.39°, I 27
- 2θ = 46.55°, I 23
- 2θ = 49.28°, I 19
- 2θ = 55.22°, I 24
- 2θ = 67.42°, I 19

Crystal structure
```
16
Lattice="6.654 0.000 0.000 0.000 6.654 0.000 0.000 0.000 7.752" Properties=species:S:1:pos:R:3 pbc="T T T"
Pm 0.000 3.327 0.000
Pm 0.000 3.327 3.876
Pm 3.327 0.000 0.000
Pm 3.327 0.000 3.876
Pa 0.000 0.000 2.490
Pa 3.327 3.327 6.366
Pd 0.000 0.000 7.630
Pd 1.430 1.430 5.715
Pd 1.430 5.224 5.715
Pd 1.897 1.897 1.839
Pd 1.897 4.757 1.839
Pd 3.327 3.327 3.754
Pd 4.757 1.897 1.839
Pd 4.757 4.757 1.839
Pd 5.224 1.430 5.715
Pd 5.224 5.224 5.715
```